1.
Calculated XRD peak list
Compound: YAl2SbH
Radiation: Cu Ka
Structure: a GGA-PBE-relaxed structure
Lines closer than 0.1° are merged.

Cell and atoms:
a b c (Å): 5.608 5.608 3.592
angles (deg): 90.00 90.00 90.00
Space group P4/mmm (No. 123)
Asymmetric unit:
Y: 0.000 0.000 0.000 (multiplicity 1)
Al: 0.000 0.500 0.500 (multiplicity 2)
Sb: 0.500 0.500 0.500 (multiplicity 1)
H: 0.500 0.500 0.000 (multiplicity 1)

Principal peaks in the range 10° ≤ 2θ ≤ 80°, in order of rising 2θ:
d/Å  2θ/deg  I (rel.)
3.965  22.42  568
3.025  29.53  1000
2.804  31.92  661
2.056  44.04  661
1.983  45.77  236
1.658  55.41  165
1.512  61.30  193
1.427  65.39  199
1.331  70.79  125
1.272  74.62  135



2.
Calculated XRD peak list
Compound: I
Radiation: Cu Ka
Structure: a GGA-PBE-relaxed structure
Lines closer than 0.1° are merged.

Cell and atoms:
a b c (Å): 5.537 5.677 7.917
angles (deg): 86.59 83.10 68.77
Space group P-1 (No. 2)
Asymmetric unit:
I: 0.048 0.235 0.454 (multiplicity 2)
I: 0.344 0.579 0.869 (multiplicity 2)

Principal peaks in the range 10° ≤ 2θ ≤ 80°, in order of rising 2θ:
d/Å  2θ/deg  I (rel.)
5.291  16.76  339
4.522  19.63  228
4.425  20.07  633
4.102  21.66  1000
3.791  23.47  497
3.293  27.08  580
2.794  32.03  442
2.620  34.23  190
2.520  35.63  587
2.399  37.48  237



3.
Calculated XRD peak list
Compound: InHg3H4
Radiation: Cu Ka
Structure: a GGA-PBE-relaxed structure
Lines closer than 0.1° are merged.

Cell and atoms:
a b c (Å): 3.318 5.391 8.855
angles (deg): 102.34 98.58 90.27
Space group P-1 (No. 2)
Asymmetric unit:
In: 0.000 0.000 0.000 (multiplicity 1)
Hg: 0.185 0.974 0.341 (multiplicity 2)
Hg: 0.500 0.500 0.000 (multiplicity 1)
H: 0.294 0.451 0.605 (multiplicity 2)
H: 0.311 0.590 0.646 (multiplicity 2)

Principal peaks in the range 10° ≤ 2θ ≤ 80°, in order of rising 2θ:
d/Å  2θ/deg  I (rel.)
5.262  16.85  797
4.990  17.77  877
2.915  30.67  459
2.849  31.40  1000
2.819  31.74  429
2.810  31.84  440
2.737  32.72  503
2.701  33.17  596
2.631  34.07  767
2.343  38.42  457



4.
Calculated XRD peak list
Compound: Tm4PHC2
Radiation: Cu Ka
Structure: a GGA-PBE-relaxed structure
Lines closer than 0.1° are merged.

Cell and atoms:
a b c (Å): 3.662 11.870 12.297
angles (deg): 90.00 90.00 90.00
Space group Cmcm (No. 63)
Asymmetric unit:
Tm: 0.000 0.000 0.000 (multiplicity 4)
Tm: 0.000 0.265 0.109 (multiplicity 8)
Tm: 0.000 0.439 0.750 (multiplicity 4)
P: 0.000 0.114 0.750 (multiplicity 4)
H: 0.000 0.155 0.250 (multiplicity 4)
C: 0.000 0.366 0.560 (multiplicity 8)

Principal peaks in the range 10° ≤ 2θ ≤ 80°, in order of rising 2θ:
d/Å  2θ/deg  I (rel.)
3.041  29.37  594
2.968  30.11  327
2.730  32.81  1000
2.661  33.68  694
2.626  34.15  764
2.463  36.49  342
1.831  49.80  228
1.792  50.97  296
1.538  60.16  221
1.521  60.92  343



5.
Calculated XRD peak list
Compound: Be7Cu5
Radiation: Cu Ka
Structure: a GGA-PBE-relaxed structure
Lines closer than 0.1° are merged.

Cell and atoms:
a b c (Å): 7.408 7.408 4.498
angles (deg): 90.00 90.00 90.00
Space group I4mm (No. 107)
Asymmetric unit:
Be: 0.000 0.000 0.000 (multiplicity 2)
Be: 0.000 0.237 0.244 (multiplicity 8)
Be: 0.000 0.500 0.008 (multiplicity 4)
Cu: 0.000 0.000 0.524 (multiplicity 2)
Cu: 0.199 0.199 0.813 (multiplicity 8)

Principal peaks in the range 10° ≤ 2θ ≤ 80°, in order of rising 2θ:
d/Å  2θ/deg  I (rel.)
5.238  16.93  637
3.844  23.14  470
3.704  24.03  594
2.667  33.60  561
2.619  34.24  797
2.164  41.73  1000
1.922  47.29  943
1.869  48.73  704
1.407  66.44  300
1.315  71.76  310



6.
Calculated XRD peak list
Compound: Na4Pu3SiN8
Radiation: Cu Ka
Structure: a GGA-PBE-relaxed structure
Lines closer than 0.1° are merged.

Cell and atoms:
a b c (Å): 12.035 6.488 6.733
angles (deg): 90.00 122.40 90.00
Space group C2/m (No. 12)
Asymmetric unit:
Na: 0.000 0.000 0.000 (multiplicity 2)
Na: 0.000 0.500 0.000 (multiplicity 2)
Na: 0.250 0.250 0.000 (multiplicity 4)
Pu: 0.000 0.000 0.500 (multiplicity 2)
Pu: 0.250 0.250 0.500 (multiplicity 4)
Si: 0.000 0.500 0.500 (multiplicity 2)
N: 0.025 0.286 0.337 (multiplicity 8)
N: 0.223 0.000 0.687 (multiplicity 4)
N: 0.231 0.000 0.281 (multiplicity 4)

Principal peaks in the range 10° ≤ 2θ ≤ 80°, in order of rising 2θ:
d/Å  2θ/deg  I (rel.)
5.685  15.59  1000
5.468  16.21  151
2.992  29.86  187
2.843  31.47  275
2.799  31.97  286
2.770  32.32  204
2.734  32.76  388
2.540  35.33  253
2.335  38.55  390
1.703  53.84  157